Diffraction record for Ac2N. The powder diffractogram is calculated, not measured: it uses a cell relaxed with GGA-PBE and Cu Ka.

Structural model:
Lattice parameters (Å, degrees): 7.953 7.953 7.953 119.94 119.94 90.10
Positions (direct):
Ac: 0.209 0.480 0.730
Ac: 0.230 0.000 0.230
Ac: 0.230 0.000 0.770
Ac: 0.230 0.459 0.230
Ac: 0.750 0.020 0.270
Ac: 0.750 0.480 0.270
Ac: 0.750 0.480 0.730
Ac: 0.770 0.000 0.770
N: 0.490 0.240 0.250
N: 0.989 0.240 0.750
N: 0.990 0.239 0.250
N: 0.990 0.740 0.750

Largest 8 diffraction maxima, low angle first, 10° ≤ 2θ ≤ 90°:
- 2θ 27.5, I = 100
- 2θ 31.8, I = 58
- 2θ 45.6, I = 41
- 2θ 54.1, I = 43
- 2θ 56.7, I = 14
- 2θ 73.4, I = 15
- 2θ 75.6, I = 10
- 2θ 84.3, I = 11



Diffraction record for Ta2VSe5. The powder diffractogram is calculated, not measured: it uses a cell relaxed with GGA-PBE and Cu Ka.

Structural model:
Lattice parameters (Å, degrees): 9.635 7.191 7.189 84.14 47.94 47.92
Positions (direct):
Ta: 0.188 0.812 0.188
Ta: 0.812 0.188 0.812
V: 0.500 0.500 0.500
Se: 0.000 0.000 0.000
Se: 0.221 0.541 0.459
Se: 0.459 0.779 0.221
Se: 0.541 0.221 0.779
Se: 0.779 0.459 0.541

Largest 8 diffraction maxima, low angle first, 10° ≤ 2θ ≤ 90°:
- 2θ 13.0, I = 100
- 2θ 28.4, I = 15
- 2θ 34.1, I = 30
- 2θ 39.0, I = 15
- 2θ 39.2, I = 13
- 2θ 39.7, I = 13
- 2θ 41.5, I = 12
- 2θ 43.4, I = 30



Diffraction record for DyZrS4. The powder diffractogram is calculated, not measured: it uses a cell relaxed with GGA-PBE and Cu Ka.

Structural model:
Lattice parameters (Å, degrees): 8.821 8.917 3.891 90.00 90.00 90.00
Positions (direct):
Dy: 0.000 0.000 0.000
Dy: 0.500 0.500 0.000
Zr: 0.000 0.500 0.500
Zr: 0.500 0.000 0.500
S: 0.000 0.309 0.000
S: 0.000 0.691 0.000
S: 0.211 0.000 0.500
S: 0.289 0.500 0.500
S: 0.500 0.191 0.000
S: 0.500 0.809 0.000
S: 0.711 0.500 0.500
S: 0.789 0.000 0.500

Largest 8 diffraction maxima, low angle first, 10° ≤ 2θ ≤ 90°:
- 2θ 19.9, I = 87
- 2θ 20.1, I = 78
- 2θ 27.0, I = 100
- 2θ 30.6, I = 30
- 2θ 39.5, I = 70
- 2θ 39.7, I = 59
- 2θ 49.5, I = 51
- 2θ 51.3, I = 26



Diffraction record for ZrCuHgI6. The powder diffractogram is calculated, not measured: it uses a cell relaxed with GGA-PBE and Cu Ka.

Structural model:
Lattice parameters (Å, degrees): 7.608 8.044 8.131 78.16 72.31 62.71
Positions (direct):
Zr: 0.000 0.000 0.000
Cu: 0.563 0.052 0.083
Hg: 0.635 0.744 0.515
I: 0.089 0.270 0.770
I: 0.240 0.009 0.229
I: 0.362 0.681 0.843
I: 0.653 0.218 0.254
I: 0.778 0.965 0.785
I: 0.994 0.657 0.215

Largest 8 diffraction maxima, low angle first, 10° ≤ 2θ ≤ 90°:
- 2θ 12.4, I = 75
- 2θ 15.1, I = 64
- 2θ 23.1, I = 99
- 2θ 23.7, I = 100
- 2θ 25.9, I = 40
- 2θ 27.9, I = 39
- 2θ 28.2, I = 100
- 2θ 39.0, I = 31



Diffraction record for K2FeAg. The powder diffractogram is calculated, not measured: it uses a cell relaxed with GGA-PBE and Cu Ka.

Structural model:
Lattice parameters (Å, degrees): 3.668 3.681 10.065 90.00 90.00 90.00
Positions (direct):
K: 0.000 0.000 0.000
K: 0.500 0.500 0.414
Fe: 0.500 0.500 0.733
Ag: 0.000 0.000 0.673

Largest 8 diffraction maxima, low angle first, 10° ≤ 2θ ≤ 90°:
- 2θ 17.6, I = 34
- 2θ 26.6, I = 67
- 2θ 30.1, I = 62
- 2θ 34.5, I = 100
- 2θ 35.7, I = 82
- 2θ 36.3, I = 65
- 2θ 44.1, I = 64
- 2θ 50.5, I = 38



Diffraction record for La3PS. The powder diffractogram is calculated, not measured: it uses a cell relaxed with GGA-PBE and Cu Ka.

Structural model:
Lattice parameters (Å, degrees): 6.924 6.924 3.777 90.00 90.00 120.00
Positions (direct):
La: 0.015 0.678 0.000
La: 0.322 0.336 0.000
La: 0.664 0.985 0.000
P: 0.333 0.667 0.500
S: 0.000 0.000 0.500

Largest 8 diffraction maxima, low angle first, 10° ≤ 2θ ≤ 90°:
- 2θ 23.6, I = 28
- 2θ 25.7, I = 83
- 2θ 35.2, I = 100
- 2θ 45.4, I = 27
- 2θ 51.7, I = 20
- 2θ 55.4, I = 20
- 2θ 58.7, I = 22
- 2θ 77.1, I = 18



Diffraction record for Li9Ca2Ga6. The powder diffractogram is calculated, not measured: it uses a cell relaxed with GGA-PBE and Cu Ka.

Structural model:
Lattice parameters (Å, degrees): 5.420 5.420 13.761 90.00 90.00 120.00
Positions (direct):
Li: 0.000 0.500 0.000
Li: 0.000 0.500 0.335
Li: 0.000 0.500 0.665
Li: 0.500 0.000 0.000
Li: 0.500 0.000 0.335
Li: 0.500 0.000 0.665
Li: 0.500 0.500 0.000
Li: 0.500 0.500 0.335
Li: 0.500 0.500 0.665
Ca: 0.000 0.000 0.158
Ca: 0.000 0.000 0.842
Ga: 0.333 0.667 0.168
Ga: 0.333 0.667 0.500
Ga: 0.333 0.667 0.832
Ga: 0.667 0.333 0.168
Ga: 0.667 0.333 0.500
Ga: 0.667 0.333 0.832

Largest 8 diffraction maxima, low angle first, 10° ≤ 2θ ≤ 90°:
- 2θ 18.9, I = 24
- 2θ 19.4, I = 77
- 2θ 33.1, I = 69
- 2θ 38.6, I = 100
- 2θ 39.3, I = 17
- 2θ 52.3, I = 35
- 2θ 62.7, I = 23
- 2θ 70.8, I = 15



Diffraction record for YGaHg2. The powder diffractogram is calculated, not measured: it uses a cell relaxed with GGA-PBE and Cu Ka.

Structural model:
Lattice parameters (Å, degrees): 4.414 4.414 4.702 90.00 90.00 90.00
Positions (direct):
Y: 0.000 0.000 0.000
Ga: 0.500 0.500 0.000
Hg: 0.000 0.500 0.500
Hg: 0.500 0.000 0.500

Largest 8 diffraction maxima, low angle first, 10° ≤ 2θ ≤ 90°:
- 2θ 18.9, I = 18
- 2θ 28.6, I = 14
- 2θ 34.5, I = 100
- 2θ 38.3, I = 19
- 2θ 40.9, I = 31
- 2θ 57.3, I = 23
- 2θ 66.8, I = 15
- 2θ 70.4, I = 25